(1)
DyPuPt10: computed X-ray powder pattern (Cu Kα (weighted mean of Kα1 and Kα2)), based on a DFT-relaxed cell (PBE, Alexandria).
Peak positions follow from Bragg's law for the DFT cell and can differ from measured ones.

Largest 6 diffraction maxima, by intensity, 10° ≤ 2θ ≤ 90°:
39.22 deg, d 2.297, I 100; 43.97 deg, d 2.059, I 40; 40.55 deg, d 2.225, I 34; 38.76 deg, d 2.323, I 29; 33.41 deg, d 2.682, I 19; 57.34 deg, d 1.607, I 19

Structural model:
abc: 4.450 5.372 9.279
angles: 90.00 90.00 90.00
Element x y z (fractional)
Dy 0.000 0.000 0.000
Pu 0.000 0.500 0.500
Pt 0.000 0.000 0.332
Pt 0.000 0.000 0.668
Pt 0.000 0.500 0.166
Pt 0.000 0.500 0.834
Pt 0.500 0.000 0.500
Pt 0.500 0.250 0.249
Pt 0.500 0.250 0.751
Pt 0.500 0.500 0.000
Pt 0.500 0.750 0.249
Pt 0.500 0.750 0.751

(2)
DyPu2Pt9: computed X-ray powder pattern (Cu Kα (weighted mean of Kα1 and Kα2)), based on a DFT-relaxed cell (PBE, Alexandria).
Peak positions follow from Bragg's law for the DFT cell and can differ from measured ones.

Largest 6 diffraction maxima, by intensity, 10° ≤ 2θ ≤ 90°:
39.02 deg, d 2.308, I 100; 42.20 deg, d 2.141, I 38; 38.68 deg, d 2.328, I 30; 33.20 deg, d 2.698, I 27; 69.70 deg, d 1.349, I 26; 63.23 deg, d 1.471, I 25

Structural model:
abc: 9.442 9.442 9.442
angles: 33.21 33.21 33.21
Element x y z (fractional)
Dy 0.000 0.000 0.000
Pu 0.142 0.142 0.142
Pu 0.858 0.858 0.858
Pt 0.081 0.586 0.586
Pt 0.333 0.333 0.333
Pt 0.414 0.414 0.919
Pt 0.414 0.919 0.414
Pt 0.500 0.500 0.500
Pt 0.586 0.081 0.586
Pt 0.586 0.586 0.081
Pt 0.667 0.667 0.667
Pt 0.919 0.414 0.414

(3)
Dy3PtRh2: computed X-ray powder pattern (Cu Kα (weighted mean of Kα1 and Kα2)), based on a DFT-relaxed cell (PBE, Alexandria).
Peak positions follow from Bragg's law for the DFT cell and can differ from measured ones.

Largest 6 diffraction maxima, by intensity, 10° ≤ 2θ ≤ 90°:
36.88 deg, d 2.437, I 100; 66.44 deg, d 1.407, I 36; 53.15 deg, d 1.723, I 18; 78.49 deg, d 1.219, I 11; 22.34 deg, d 3.980, I 2; 43.55 deg, d 2.078, I 1

Structural model:
abc: 4.873 4.873 11.944
angles: 90.00 90.00 120.00
Element x y z (fractional)
Dy 0.000 0.000 0.248
Dy 0.000 0.000 0.752
Dy 0.333 0.667 0.416
Dy 0.333 0.667 0.918
Dy 0.667 0.333 0.082
Dy 0.667 0.333 0.584
Pt 0.333 0.667 0.666
Pt 0.667 0.333 0.334
Rh 0.000 0.000 0.000
Rh 0.000 0.000 0.500
Rh 0.333 0.667 0.164
Rh 0.667 0.333 0.836

(4)
DyScPtRh: computed X-ray powder pattern (Cu Kα (weighted mean of Kα1 and Kα2)), based on a DFT-relaxed cell (PBE, Alexandria).
Peak positions follow from Bragg's law for the DFT cell and can differ from measured ones.

Largest 6 diffraction maxima, by intensity, 10° ≤ 2θ ≤ 90°:
37.75 deg, d 2.383, I 100; 38.00 deg, d 2.368, I 51; 68.49 deg, d 1.370, I 34; 29.75 deg, d 3.003, I 24; 54.83 deg, d 1.674, I 18; 68.00 deg, d 1.379, I 16

Structural model:
abc: 3.349 3.349 6.783
angles: 90.00 90.00 90.00
Element x y z (fractional)
Dy 0.000 0.000 0.000
Sc 0.000 0.000 0.489
Pt 0.500 0.500 0.726
Rh 0.500 0.500 0.264

(5)
Dy2Si2PtRh5: computed X-ray powder pattern (Cu Kα (weighted mean of Kα1 and Kα2)), based on a DFT-relaxed cell (PBE, Alexandria).
Peak positions follow from Bragg's law for the DFT cell and can differ from measured ones.

Largest 6 diffraction maxima, by intensity, 10° ≤ 2θ ≤ 90°:
39.01 deg, d 2.309, I 100; 38.51 deg, d 2.338, I 47; 32.75 deg, d 2.735, I 46; 36.61 deg, d 2.454, I 36; 41.92 deg, d 2.155, I 27; 42.38 deg, d 2.133, I 22

Structural model:
abc: 9.639 9.639 3.538
angles: 90.00 90.00 90.00
Element x y z (fractional)
Dy 0.176 0.324 0.000
Dy 0.324 0.824 0.000
Dy 0.676 0.176 0.000
Dy 0.824 0.676 0.000
Si 0.124 0.624 0.000
Si 0.376 0.124 0.000
Si 0.624 0.876 0.000
Si 0.876 0.376 0.000
Pt 0.000 0.000 0.000
Pt 0.500 0.500 0.000
Rh 0.000 0.500 0.500
Rh 0.069 0.786 0.500
Rh 0.214 0.069 0.500
Rh 0.286 0.569 0.500
Rh 0.431 0.286 0.500
Rh 0.500 0.000 0.500
Rh 0.569 0.714 0.500
Rh 0.714 0.431 0.500
Rh 0.786 0.931 0.500
Rh 0.931 0.214 0.500

(6)
DySi2PtRh2: computed X-ray powder pattern (Cu Kα (weighted mean of Kα1 and Kα2)), based on a DFT-relaxed cell (PBE, Alexandria).
Peak positions follow from Bragg's law for the DFT cell and can differ from measured ones.

Largest 6 diffraction maxima, by intensity, 10° ≤ 2θ ≤ 90°:
38.19 deg, d 2.357, I 100; 27.99 deg, d 3.188, I 92; 56.49 deg, d 1.629, I 64; 40.00 deg, d 2.254, I 53; 85.17 deg, d 1.139, I 22; 57.85 deg, d 1.594, I 18

Structural model:
abc: 4.508 4.508 5.529
angles: 90.00 90.00 90.00
Element x y z (fractional)
Dy 0.000 0.000 0.000
Si 0.000 0.500 0.500
Si 0.500 0.000 0.500
Pt 0.000 0.000 0.500
Rh 0.500 0.500 0.248
Rh 0.500 0.500 0.752

Please write out number 1 again, unchanged.
DyPuPt10: computed X-ray powder pattern (Cu Kα (weighted mean of Kα1 and Kα2)), based on a DFT-relaxed cell (PBE, Alexandria).
Peak positions follow from Bragg's law for the DFT cell and can differ from measured ones.

Largest 6 diffraction maxima, by intensity, 10° ≤ 2θ ≤ 90°:
39.22 deg, d 2.297, I 100; 43.97 deg, d 2.059, I 40; 40.55 deg, d 2.225, I 34; 38.76 deg, d 2.323, I 29; 33.41 deg, d 2.682, I 19; 57.34 deg, d 1.607, I 19

Structural model:
abc: 4.450 5.372 9.279
angles: 90.00 90.00 90.00
Element x y z (fractional)
Dy 0.000 0.000 0.000
Pu 0.000 0.500 0.500
Pt 0.000 0.000 0.332
Pt 0.000 0.000 0.668
Pt 0.000 0.500 0.166
Pt 0.000 0.500 0.834
Pt 0.500 0.000 0.500
Pt 0.500 0.250 0.249
Pt 0.500 0.250 0.751
Pt 0.500 0.500 0.000
Pt 0.500 0.750 0.249
Pt 0.500 0.750 0.751